Simulated powder diffractogram
Compound: Pm5ErPb4
Radiation: Cu Kα, 1.54184 Å
Structure: a DFT-relaxed cell (PBE, Alexandria)
Kinematic intensities with the Lorentz-polarization factor, no thermal factor.

The 12 most intense peaks (5° ≤ 2θ ≤ 70°), in order of rising 2θ:
2theta, Rel. int., hkl
21.0, 29, 1 1 -1
32.2, 54, 6 0 0
32.9, 53, 0 2 0
33.5, 100, 3 1 -2
33.7, 98, 3 1 2
46.7, 39, 6 2 0
49.8, 17, 0 0 4
58.0, 19, 9 1 -2
58.5, 19, 9 1 2
59.1, 20, 3 3 -2
59.3, 20, 3 3 2
61.0, 18, 0 2 4

Cell and atoms:
Cell: 16.702 5.446 7.323 Å, 90.00 90.62 90.00°
Space group C2/m (No. 12)
Symmetry-distinct sites (fractional):
1 Pm 0.000 0.000 0.000 x2
2 Pm 0.166 0.500 0.996 x4
3 Pm 0.167 0.500 0.507 x4
4 Er 0.000 0.000 0.500 x2
5 Pb 0.008 0.500 0.255 x4
6 Pb 0.174 0.000 0.748 x4



Simulated powder diffractogram
Compound: Pm4Er5Pb2
Radiation: Cu Kα, 1.54184 Å
Structure: a DFT-relaxed cell (PBE, Alexandria)
Kinematic intensities with the Lorentz-polarization factor, no thermal factor.

The 12 most intense peaks (5° ≤ 2θ ≤ 70°), in order of rising 2θ:
2theta, Rel. int., hkl
5.7, 61, 0 0 3
19.4, 9, 1 0 1
31.6, 93, 1 0 13
33.2, 26, 0 1 14
33.8, 100, 1 1 0
47.0, 31, 0 2 13
48.1, 9, 2 0 14
52.9, 11, 0 0 27
59.1, 32, 2 1 13
60.1, 10, 1 2 14
60.5, 19, 3 0 0
64.3, 21, 1 1 27

Cell and atoms:
Cell: 5.2999 5.2999 46.7038 Å, 90.00 90.00 120.00°
Space group R-3m (No. 166, hexagonal axes)
Symmetry-distinct sites (fractional):
1 Pm 0.0000 0.0000 0.0722 x6
2 Pm 0.0000 0.0000 0.2245 x6
3 Er 0.0000 0.0000 0.0000 x3
4 Er 0.0000 0.0000 0.1481 x6
5 Er 0.0000 0.0000 0.3030 x6
6 Pb 0.0000 0.0000 0.3763 x6



Simulated powder diffractogram
Compound: PmEr5Pb4
Radiation: Cu Kα, 1.54184 Å
Structure: a DFT-relaxed cell (PBE, Alexandria)
Kinematic intensities with the Lorentz-polarization factor, no thermal factor.

The 12 most intense peaks (5° ≤ 2θ ≤ 70°), in order of rising 2θ:
2theta, Rel. int., hkl
28.6, 18, 3 1 1
29.9, 100, 1 1 -2
30.5, 40, 6 0 -1
31.5, 26, 1 1 2
34.9, 19, 0 0 3
36.0, 54, 5 1 1
36.6, 40, 5 1 -2
39.2, 40, 0 2 0
50.5, 20, 6 2 -1
61.7, 17, 11 1 0
62.9, 20, 5 1 4
66.3, 19, 6 2 -4

Cell and atoms:
Cell: 17.879 4.593 7.885 Å, 90.00 101.79 90.00°
Space group C2/m (No. 12)
Symmetry-distinct sites (fractional):
1 Pm 0.000 0.000 0.000 x2
2 Er 0.000 0.000 0.500 x2
3 Er 0.139 0.500 0.727 x4
4 Er 0.212 0.500 0.321 x4
5 Pb 0.041 0.500 0.284 x4
6 Pb 0.186 0.000 0.021 x4



Simulated powder diffractogram
Compound: PmErPbSe
Radiation: Cu Kα, 1.54184 Å
Structure: a DFT-relaxed cell (PBE, Alexandria)
Kinematic intensities with the Lorentz-polarization factor, no thermal factor.

The 12 most intense peaks (5° ≤ 2θ ≤ 70°), in order of rising 2θ:
2theta, Rel. int., hkl
14.6, 7, 0 0 1
20.4, 13, 1 0 0
29.0, 100, 1 1 0
29.5, 48, 0 0 2
36.1, 7, 1 0 2
41.5, 38, 2 0 0
41.8, 75, 1 1 2
51.7, 41, 2 0 2
60.2, 13, 2 2 0
68.2, 18, 3 1 0
68.4, 18, 2 2 2
69.1, 17, 1 1 4

Cell and atoms:
Cell: 4.351 4.351 6.063 Å, 90.00 90.00 90.00°
Space group P4/mmm (No. 123)
Symmetry-distinct sites (fractional):
1 Pm 0.000 0.000 0.000 x1
2 Er 0.500 0.500 0.500 x1
3 Pb 0.500 0.500 0.000 x1
4 Se 0.000 0.000 0.500 x1



Simulated powder diffractogram
Compound: PmErTePb
Radiation: Cu Kα, 1.54184 Å
Structure: a DFT-relaxed cell (PBE, Alexandria)
Kinematic intensities with the Lorentz-polarization factor, no thermal factor.

The 12 most intense peaks (5° ≤ 2θ ≤ 70°), in order of rising 2θ:
2theta, Rel. int., hkl
12.2, 6, 0 0 3
23.4, 2, 1 0 1
28.3, 100, 1 0 4
37.1, 2, 1 0 7
40.5, 77, 1 1 0
42.4, 2, 1 1 3
50.1, 28, 0 2 4
51.8, 2, 0 1 11
56.0, 1, 0 2 7
58.6, 13, 2 0 8
66.3, 36, 2 1 4
67.7, 1, 2 0 11

Cell and atoms:
Cell: 4.4568 4.4568 21.8234 Å, 90.00 90.00 120.00°
Space group R3m (No. 160, hexagonal axes)
Symmetry-distinct sites (fractional):
1 Pm 0.0000 0.0000 0.0000 x3
2 Er 0.0000 0.0000 0.4940 x3
3 Te 0.0000 0.0000 0.2436 x3
4 Pb 0.0000 0.0000 0.7499 x3



Simulated powder diffractogram
Compound: Pr5Er4Pb4
Radiation: Cu Kα, 1.54184 Å
Structure: a DFT-relaxed cell (PBE, Alexandria)
Kinematic intensities with the Lorentz-polarization factor, no thermal factor.

The 12 most intense peaks (5° ≤ 2θ ≤ 70°), in order of rising 2θ:
2theta, Rel. int., hkl
30.0, 11, 4 2 0
30.8, 100, 3 2 1
33.7, 17, 1 4 1
34.4, 20, 1 5 0
38.3, 20, 0 0 2
38.9, 9, 4 3 1
40.7, 12, 6 0 0
52.4, 14, 1 5 2
57.1, 9, 6 0 2
62.9, 18, 3 8 1
63.3, 9, 5 5 2
64.6, 12, 3 2 3

Cell and atoms:
Cell: 13.303 13.303 4.704 Å, 90.00 90.00 90.00°
Space group I4/m (No. 87)
Symmetry-distinct sites (fractional):
1 Pr 0.000 0.000 0.000 x2
2 Pr 0.116 0.795 0.500 x8
3 Er 0.092 0.407 0.500 x8
4 Pb 0.080 0.238 0.000 x8



Simulated powder diffractogram
Compound: Pr6Er8Pb
Radiation: Cu Kα, 1.54184 Å
Structure: a DFT-relaxed cell (PBE, Alexandria)
Kinematic intensities with the Lorentz-polarization factor, no thermal factor.

The 12 most intense peaks (5° ≤ 2θ ≤ 70°), in order of rising 2θ:
2theta, Rel. int., hkl
27.2, 20, 2 1 0
30.0, 54, 0 0 2
31.0, 46, 3 0 0
31.2, 100, 2 1 1
34.5, 61, 3 0 1
41.0, 13, 2 1 2
43.7, 36, 3 0 2
50.7, 20, 1 4 1
54.0, 21, 2 1 3
56.2, 24, 4 2 0
57.4, 11, 3 3 1
65.0, 12, 4 2 2

Cell and atoms:
Cell: 10.0025 10.0025 5.9518 Å, 90.00 90.00 120.00°
Space group P6/m (No. 175)
Symmetry-distinct sites (fractional):
1 Pr 0.1465 0.7131 0.0000 x6
2 Er 0.0221 0.3404 0.5000 x6
3 Er 0.3333 0.6667 0.5000 x2
4 Pb 0.0000 0.0000 0.0000 x1



Simulated powder diffractogram
Compound: Pr3ErPb5
Radiation: Cu Kα, 1.54184 Å
Structure: a DFT-relaxed cell (PBE, Alexandria)
Kinematic intensities with the Lorentz-polarization factor, no thermal factor.

The 12 most intense peaks (5° ≤ 2θ ≤ 70°), in order of rising 2θ:
2theta, Rel. int., hkl
31.1, 44, 2 1 1
31.8, 86, 3 0 0
32.6, 100, 1 1 2
40.8, 12, 3 1 1
46.2, 30, 2 2 2
48.9, 10, 3 2 1
50.1, 12, 2 1 3
55.3, 9, 0 0 4
57.1, 22, 4 1 2
59.5, 10, 4 2 1
62.8, 11, 5 1 1
65.2, 22, 3 0 4

Cell and atoms:
Cell: 9.7619 9.7619 6.6430 Å, 90.00 90.00 120.00°
Space group P6_3/mcm (No. 193)
Symmetry-distinct sites (fractional):
1 Pr 0.0000 0.3824 0.2500 x6
2 Er 0.0000 0.0000 0.0000 x2
3 Pb 0.0000 0.2802 0.7500 x6
4 Pb 0.3333 0.6667 0.0000 x4